No. 1
Starting from a DFT-relaxed cell (GGA-PBE, the Materials Project), the powder XRD pattern of TiGa5Co was calculated for copper Kα.

Peak list (10 most intense, 2θ = 10–90°, sorted by position)
2θ = 25.7°, I 15.7, hkl 1 0 1; 2θ = 33.9°, I 20.8, hkl 1 1 1; 2θ = 41.4°, I 11.7, hkl 0 0 3; 2θ = 41.7°, I 100.0, hkl 1 1 2; 2θ = 44.4°, I 52.3, hkl 2 0 0; 2θ = 52.6°, I 8.1, hkl 1 1 3; 2θ = 62.3°, I 13.4, hkl 2 0 3; 2θ = 64.6°, I 16.2, hkl 2 2 0; 2θ = 79.9°, I 27.2, hkl 3 1 2; 2θ = 80.7°, I 9.3, hkl 1 1 5

Crystal structure
```
data_TiGa5Co
_chemical_formula_sum 'Ti1 Ga5 Co1'
_cell_length_a 4.0827
_cell_length_b 4.0827
_cell_length_c 6.5367
_cell_angle_alpha 90.00
_cell_angle_beta 90.00
_cell_angle_gamma 90.00
_symmetry_space_group_name_H-M 'P 4/m m m'
_symmetry_Int_Tables_number 123
_symmetry_space_group_name_Hall '-P 4 2'
loop_
_atom_site_label
_atom_site_fract_x
_atom_site_fract_y
_atom_site_fract_z
Ti1 0.0000 0.0000 0.0000
Ga1 0.0000 0.5000 0.2975
Ga2 0.5000 0.5000 0.0000
Co1 0.0000 0.0000 0.5000
```

---

No. 2
Starting from a DFT-relaxed cell (GGA-PBE, the Materials Project), the powder XRD pattern of Tm6GaCo2 was calculated for copper Kα.

Peak list (10 most intense, 2θ = 10–90°, sorted by position)
2θ = 26.6°, I 18.2, hkl 2 0 2; 2θ = 29.1°, I 21.2, hkl 0 1 3; 2θ = 30.1°, I 18.4, hkl 0 3 1; 2θ = 30.7°, I 22.4, hkl 3 1 0; 2θ = 32.9°, I 100.0, hkl 2 2 2; 2θ = 35.1°, I 37.7, hkl 2 1 3; 2θ = 35.5°, I 42.3, hkl 1 3 2; 2θ = 36.0°, I 40.2, hkl 2 3 1; 2θ = 39.2°, I 20.9, hkl 4 0 0; 2θ = 61.5°, I 23.9, hkl 5 3 2

Crystal structure
```
data_Tm6GaCo2
_chemical_formula_sum 'Tm24 Ga4 Co8'
_cell_length_a 9.1980
_cell_length_b 9.3547
_cell_length_c 9.7651
_cell_angle_alpha 90.00
_cell_angle_beta 90.00
_cell_angle_gamma 90.00
_symmetry_space_group_name_H-M 'I m m m'
_symmetry_Int_Tables_number 71
_symmetry_space_group_name_Hall '-I 2 2'
loop_
_atom_site_label
_atom_site_fract_x
_atom_site_fract_y
_atom_site_fract_z
Tm1 0.0000 0.2012 0.2355
Tm2 0.1950 0.5000 0.1798
Tm3 0.2179 0.3164 0.5000
Ga1 0.0000 0.0000 0.0000
Ga2 0.0000 0.0000 0.5000
Co1 0.0000 0.3645 0.0000
Co2 0.0000 0.5000 0.3857
```

---

No. 3
Starting from a DFT-relaxed cell (GGA-PBE, the Materials Project), the powder XRD pattern of TmGa5Co was calculated for copper Kα.

Peak list (10 most intense, 2θ = 10–90°, sorted by position)
2θ = 21.1°, I 24.3, hkl 1 0 0; 2θ = 32.8°, I 53.2, hkl 1 1 1; 2θ = 33.9°, I 14.6, hkl 1 0 2; 2θ = 39.8°, I 18.8, hkl 0 0 3; 2θ = 40.3°, I 100.0, hkl 1 1 2; 2θ = 42.9°, I 55.1, hkl 2 0 0; 2θ = 60.0°, I 22.4, hkl 2 0 3; 2θ = 62.3°, I 17.7, hkl 2 2 0; 2θ = 76.8°, I 28.5, hkl 3 1 2; 2θ = 77.2°, I 11.4, hkl 1 1 5

Crystal structure
```
data_TmGa5Co
_chemical_formula_sum 'Tm1 Ga5 Co1'
_cell_length_a 4.2149
_cell_length_b 4.2149
_cell_length_c 6.7878
_cell_angle_alpha 90.00
_cell_angle_beta 90.00
_cell_angle_gamma 90.00
_symmetry_space_group_name_H-M 'P 4/m m m'
_symmetry_Int_Tables_number 123
_symmetry_space_group_name_Hall '-P 4 2'
loop_
_atom_site_label
_atom_site_fract_x
_atom_site_fract_y
_atom_site_fract_z
Tm1 0.0000 0.0000 0.0000
Ga1 0.0000 0.5000 0.3093
Ga2 0.5000 0.5000 0.0000
Co1 0.0000 0.0000 0.5000
```